Record 1
Theoretical powder diffraction line list of KMgNb for CuKα, from a crystal structure in Alexandria, relaxed with GGA-PBE.
No peak broadening, texture or thermal motion is included.

Principal peaks in the range 10 to 90 degrees two-theta, sorted by position:
2theta, d_spacing, I (rel.), hkl
11.83, 7.480, 100, 0 0 2
17.79, 4.987, 62, 0 0 3
30.94, 2.890, 46, 0 1 3
34.85, 2.574, 67, 1 0 -4
35.84, 2.506, 82, 1 1 0
36.35, 2.471, 39, 1 1 -1
37.87, 2.376, 24, 1 1 2
40.28, 2.239, 28, 1 1 -3
44.40, 2.040, 47, 0 1 6
51.59, 1.772, 31, 0 2 0

Crystal structure
Cell: 3.544 3.544 14.960 Å, 90.00 90.23 90.00°
Space group P2_1/m (No. 11)
Inequivalent atoms, fractional coordinates:
K1 0.243 0.250 0.139 x2
Mg1 0.253 0.250 0.660 x2
Nb1 0.249 0.250 0.460 x2

=====

Record 2
Theoretical powder diffraction line list of K2Nd2MgS4O16 for CuKα, from a crystal structure in Alexandria, relaxed with GGA-PBE.
No peak broadening, texture or thermal motion is included.

Principal peaks in the range 10 to 90 degrees two-theta, sorted by position:
2theta, d_spacing, I (rel.), hkl
14.25, 6.215, 100, 0 1 -1
16.85, 5.263, 31, 0 1 1
18.09, 4.904, 50, 1 0 -1
21.12, 4.207, 30, 1 -1 1
24.77, 3.594, 58, 1 0 2
25.54, 3.488, 75, 0 2 0
25.94, 3.435, 60, 1 1 -2
28.07, 3.179, 44, -1 1 2
32.28, 2.773, 42, 2 0 0
32.63, 2.744, 31, 1 -2 2

Crystal structure
Cell: 5.559 7.099 9.933 Å, 99.92 91.78 93.20°
Space group P1 (No. 1)
Inequivalent atoms, fractional coordinates:
K1 0.000 0.000 0.000 x1
K2 0.438 0.625 0.714 x1
Nd1 0.528 0.499 0.095 x1
Nd2 0.900 0.094 0.553 x1
Mg1 0.439 0.812 0.434 x1
S1 0.031 0.564 0.380 x1
S2 0.470 0.141 0.752 x1
S3 0.521 0.043 0.234 x1
S4 0.978 0.505 0.911 x1
O1 0.033 0.416 0.467 x1
O2 0.063 0.760 0.471 x1
O3 0.206 0.626 0.960 x1
O4 0.240 0.019 0.719 x1
O5 0.254 0.559 0.295 x1
O6 0.307 0.010 0.315 x1
O7 0.440 0.278 0.880 x1
O8 0.465 0.179 0.140 x1
O9 0.524 0.246 0.636 x1
O10 0.576 0.856 0.149 x1
O11 0.679 0.022 0.768 x1
O12 0.737 0.119 0.323 x1
O13 0.773 0.636 0.924 x1
O14 0.812 0.549 0.290 x1
O15 0.929 0.370 0.009 x1
O16 0.996 0.410 0.769 x1

=====

Record 3
Theoretical powder diffraction line list of K2Nd2MgS4O16 for CuKα, from a crystal structure in Alexandria, relaxed with GGA-PBE.
No peak broadening, texture or thermal motion is included.

Principal peaks in the range 10 to 90 degrees two-theta, sorted by position:
2theta, d_spacing, I (rel.), hkl
13.55, 6.535, 100, 0 1 -1
17.17, 5.164, 24, 1 0 -1
18.53, 4.789, 25, 0 0 2
24.79, 3.592, 35, 1 -1 2
25.63, 3.476, 50, 0 2 -1
29.79, 2.999, 42, -1 1 2
29.96, 2.983, 37, 1 1 -3
30.45, 2.935, 37, 2 0 0
31.50, 2.840, 62, 1 -1 3
40.36, 2.235, 23, 2 2 -1

Crystal structure
Cell: 5.884 6.953 10.200 Å, 109.74 93.50 90.50°
Space group P1 (No. 1)
Inequivalent atoms, fractional coordinates:
K1 0.000 0.000 0.000 x1
K2 0.413 0.370 0.556 x1
Nd1 0.470 0.531 0.008 x1
Nd2 0.937 0.824 0.568 x1
Mg1 0.903 0.145 0.335 x1
S1 0.462 0.939 0.831 x1
S2 0.470 0.836 0.402 x1
S3 0.934 0.532 0.171 x1
S4 0.940 0.415 0.744 x1
O1 0.132 0.519 0.845 x1
O2 0.142 0.428 0.108 x1
O3 0.269 0.938 0.473 x1
O4 0.271 0.833 0.729 x1
O5 0.412 0.159 0.893 x1
O6 0.430 0.770 0.250 x1
O7 0.481 0.849 0.946 x1
O8 0.544 0.668 0.454 x1
O9 0.667 0.995 0.449 x1
O10 0.682 0.913 0.763 x1
O11 0.719 0.438 0.810 x1
O12 0.739 0.376 0.128 x1
O13 0.866 0.695 0.112 x1
O14 0.920 0.507 0.630 x1
O15 0.973 0.616 0.324 x1
O16 0.990 0.195 0.680 x1

=====

Record 4
Theoretical powder diffraction line list of K2Nd2MgS4O16 for CuKα, from a crystal structure in Alexandria, relaxed with GGA-PBE.
No peak broadening, texture or thermal motion is included.

Principal peaks in the range 10 to 90 degrees two-theta, sorted by position:
2theta, d_spacing, I (rel.), hkl
14.42, 6.142, 76, 0 1 1
15.10, 5.869, 38, 0 1 -1
16.24, 5.460, 42, 1 0 0
19.91, 4.459, 48, 1 0 -1
20.23, 4.389, 100, 1 0 2
24.62, 3.616, 98, 0 2 0
28.28, 3.156, 46, -1 1 2
29.15, 3.064, 41, 1 1 -2
29.53, 3.025, 37, 1 -1 3
31.85, 2.810, 39, 2 0 1

Crystal structure
Cell: 5.621 7.240 11.087 Å, 87.26 76.25 89.97°
Space group P1 (No. 1)
Inequivalent atoms, fractional coordinates:
K1 0.000 0.000 0.000 x1
K2 0.242 0.569 0.348 x1
Nd1 0.074 0.501 0.786 x1
Nd2 0.764 0.036 0.434 x1
Mg1 0.415 0.378 0.995 x1
S1 0.145 0.005 0.670 x1
S2 0.292 0.066 0.249 x1
S3 0.673 0.526 0.537 x1
S4 0.822 0.496 0.072 x1
O1 0.083 0.171 0.744 x1
O2 0.110 0.908 0.267 x1
O3 0.121 0.839 0.757 x1
O4 0.169 0.206 0.337 x1
O5 0.348 0.135 0.118 x1
O6 0.397 0.020 0.591 x1
O7 0.421 0.531 0.616 x1
O8 0.524 0.003 0.281 x1
O9 0.559 0.526 0.131 x1
O10 0.695 0.362 0.458 x1
O11 0.718 0.696 0.452 x1
O12 0.821 0.338 0.985 x1
O13 0.861 0.515 0.611 x1
O14 0.922 0.656 0.983 x1
O15 0.970 0.985 0.589 x1
O16 0.971 0.455 0.161 x1

=====

Record 5
Theoretical powder diffraction line list of KMg14Ni for CuKα, from a crystal structure in Alexandria, relaxed with GGA-PBE.
No peak broadening, texture or thermal motion is included.

Principal peaks in the range 10 to 90 degrees two-theta, sorted by position:
2theta, d_spacing, I (rel.), hkl
15.96, 5.552, 9, 1 0 0
23.41, 3.799, 6, 1 0 2
32.25, 2.776, 26, 2 0 0
34.42, 2.605, 23, 0 0 4
36.68, 2.450, 100, 2 0 2
47.88, 1.900, 15, 2 0 4
57.50, 1.603, 17, 2 2 0
63.15, 1.472, 14, 2 0 6
68.77, 1.365, 16, 2 2 4
70.17, 1.341, 13, 4 0 2

Crystal structure
Cell: 6.4108 6.4108 10.4211 Å, 90.00 90.00 120.00°
Space group P-6m2 (No. 187)
Inequivalent atoms, fractional coordinates:
K1 0.0000 0.0000 0.0000 x1
Mg1 0.0103 0.5052 0.0000 x3
Mg2 0.1627 0.3255 0.2775 x6
Mg3 0.5062 0.0124 0.5000 x3
Mg4 0.6667 0.3333 0.2396 x2
Ni1 0.0000 0.0000 0.5000 x1

=====

Record 6
Theoretical powder diffraction line list of KMgPO4 for CuKα, from a crystal structure in Alexandria, relaxed with GGA-PBE.
No peak broadening, texture or thermal motion is included.

Principal peaks in the range 10 to 90 degrees two-theta, sorted by position:
2theta, d_spacing, I (rel.), hkl
20.48, 4.337, 25, 2 0 0
20.84, 4.263, 23, 1 0 -4
21.46, 4.142, 27, 1 0 4
27.13, 3.287, 62, 1 1 -4
27.61, 3.231, 67, 1 1 4
28.21, 3.164, 100, 2 1 -2
28.68, 3.113, 65, 2 1 2
30.08, 2.971, 18, 1 0 6
32.92, 2.721, 28, 0 1 6
34.77, 2.580, 35, 0 2 0

Crystal structure
Cell: 8.677 5.163 19.219 Å, 90.00 91.95 90.00°
Space group P2_1/c (No. 14)
Inequivalent atoms, fractional coordinates:
K1 0.005 0.217 0.092 x4
K2 0.479 0.725 0.340 x4
Mg1 0.156 0.229 0.768 x4
Mg2 0.320 0.726 0.530 x4
P1 0.205 0.701 0.189 x4
P2 0.296 0.247 0.436 x4
O1 0.049 0.589 0.217 x4
O2 0.202 0.660 0.109 x4
O3 0.217 0.176 0.866 x4
O4 0.222 0.097 0.996 x4
O5 0.226 0.509 0.706 x4
O6 0.278 0.548 0.949 x4
O7 0.328 0.529 0.227 x4
O8 0.470 0.183 0.934 x4

=====

Record 7
Theoretical powder diffraction line list of K2MgZn2P6O18 for CuKα, from a crystal structure in Alexandria, relaxed with GGA-PBE.
No peak broadening, texture or thermal motion is included.

Principal peaks in the range 10 to 90 degrees two-theta, sorted by position:
2theta, d_spacing, I (rel.), hkl
14.72, 6.017, 39, 1 0 0
23.02, 3.863, 100, 1 0 2
27.15, 3.284, 32, 1 1 1
29.69, 3.009, 36, 2 0 0
31.27, 2.860, 57, 1 1 2
34.73, 2.583, 16, 2 0 2
40.67, 2.218, 14, 1 2 1
45.21, 2.006, 14, 3 0 0
47.05, 1.932, 13, 2 0 4
54.34, 1.688, 24, 2 1 4

Crystal structure
Cell: 6.9481 6.9481 10.0772 Å, 90.00 90.00 120.00°
Space group P-6 (No. 174)
Inequivalent atoms, fractional coordinates:
K1 0.0000 0.0000 0.1900 x2
Mg1 0.0000 0.0000 0.5000 x1
Zn1 0.6667 0.3333 0.2564 x2
P1 0.0526 0.4578 0.0000 x3
P2 0.0534 0.5975 0.5000 x3
O1 0.1569 0.7252 0.0000 x3
O2 0.1579 0.4350 0.5000 x3
O3 0.4246 0.0666 0.1279 x6
O4 0.4276 0.3615 0.3709 x6